Starting from a PBE-relaxed structure, the XRD peak list of Lu2S was calculated for CuKα.
Intensities are scaled so that the largest is 100.

Structural model:
a = 6.234 Å, b = 6.234 Å, c = 3.785 Å
α = 90.00°, β = 90.00°, γ = 90.00°
Space group P4_2/mnm (No. 136)
Asymmetric unit:
Lu  0.207  0.207  0.000 x4
S  0.000  0.000  0.500 x2

Top 10 peaks for 2θ = 10–80°, low angle first:
d_spacing  Rel. int.
3.117  41.2
2.872  100.0
2.788  26.7
2.245  12.2
2.204  18.9
1.822  20.9
1.748  24.0
1.618  12.6
1.573  11.2
1.512  12.4